Diffraction record for Pa3TlCo4O12. The powder diffraction line list is theoretical, not measured: it uses a DFT-relaxed cell (GGA+U, Alexandria) and copper Kα.
No peak broadening, texture or thermal motion is included.

Main lines, by angle (2θ = 10–90°):
2theta  d_spacing  I/Imax
15.18  5.838  20
20.35  4.363  57
25.48  3.495  26
27.16  3.284  100
30.63  2.919  37
33.60  2.668  28
38.26  2.352  17
41.38  2.182  13
45.69  1.986  23
51.41  1.777  16
52.23  1.751  16
56.86  1.619  13

Crystal structure
```
Pa3TlCo4O12
1.0
5.838 3.371 2.879
-5.838 3.371 2.879
0.000 -6.742 2.879
Pa Tl Co O
3 1 4 12
Cartesian
-3.229 -1.149 2.879
2.609 -2.222 2.879
0.619 3.371 2.879
0.000 0.000 0.000
-2.613 -4.526 4.318
0.000 0.000 4.318
-2.613 4.526 4.318
5.226 0.000 4.318
-3.433 -2.861 4.022
-4.568 0.000 4.318
-0.761 -4.404 4.615
-1.889 0.000 4.318
-3.433 2.861 4.615
2.284 -3.956 4.318
0.944 -1.636 4.318
-0.761 4.404 4.022
0.944 1.636 4.318
4.194 -1.543 4.022
2.284 3.956 4.318
4.194 1.543 4.615
```